Simulated powder diffractogram of Sc8Tc2Ag for Cu Kα X-rays, from a DFT-relaxed cell (GGA-PBE, Alexandria).
Neutral-atom scattering factors, no anomalous dispersion.

Crystal structure
a b c (Å): 8.336 8.336 8.336
angles (deg): 145.76 58.33 134.29
Fractional coordinates of all 11 atoms:
Sc1 0.000 0.000 0.000
Sc2 0.087 0.424 0.663
Sc3 0.184 0.892 0.292
Sc4 0.282 0.782 0.500
Sc5 0.455 0.567 0.888
Sc6 0.601 0.892 0.708
Sc7 0.679 0.567 0.112
Sc8 0.760 0.424 0.337
Tc1 0.027 0.193 0.834
Tc2 0.359 0.193 0.166
Ag1 0.703 0.203 0.500

Principal peaks in the range 5 to 70 degrees two-theta, low angle first:
| 2theta | I_rel |
| --- | --- |
| 22.7 | 33.8 |
| 22.9 | 42.5 |
| 33.7 | 43.2 |
| 36.6 | 49.8 |
| 38.1 | 100.0 |
| 46.0 | 32.3 |